[1]
Diffraction record for Fe2P. The powder diffraction line list is simulated, not measured: it uses a crystal structure in Alexandria, relaxed with GGA-PBE and a wavelength of 1.5418 Å.
No peak broadening, texture or thermal motion is included.

Structure:
Cell: 5.7918 5.7918 3.4348 Å, 90.00 90.00 120.00°
Space group P-62m (No. 189)
Asymmetric unit:
Fe1 0.0000 0.4090 0.0000
Fe2 0.0000 0.7430 0.5000
P1 0.0000 0.0000 0.0000
P2 0.3333 0.6667 0.5000

Most intense lines, 10 to 80 degrees two-theta, in order of falling intensity:
(1 1 1), d = 2.214 Å, rel. 100; (2 0 1), d = 2.025 Å, rel. 65; (2 1 0), d = 1.896 Å, rel. 42; (0 0 2), d = 1.717 Å, rel. 24; (2 1 2), d = 1.273 Å, rel. 20; (3 0 0), d = 1.672 Å, rel. 19; (2 1 1), d = 1.660 Å, rel. 13; (3 1 1), d = 1.289 Å, rel. 11; (3 1 0), d = 1.391 Å, rel. 7; (1 1 0), d = 2.896 Å, rel. 4

[2]
Diffraction record for AcPr8Sm3. The powder diffraction line list is simulated, not measured: it uses a crystal structure in Alexandria, relaxed with GGA-PBE and a wavelength of 1.5418 Å.
No peak broadening, texture or thermal motion is included.

Structure:
Cell: 6.694 11.764 11.891 Å, 90.00 90.00 90.00°
Space group Immm (No. 71)
Asymmetric unit:
Ac1 0.000 0.000 0.000
Pr1 0.000 0.173 0.254
Pr2 0.231 0.274 0.000
Sm1 0.000 0.000 0.500
Sm2 0.000 0.500 0.226

Most intense lines, 10 to 80 degrees two-theta, in order of falling intensity:
(1 3 2), d = 2.941 Å, rel. 100; (2 0 2), d = 2.914 Å, rel. 50; (0 0 4), d = 2.973 Å, rel. 44; (2 2 2), d = 2.613 Å, rel. 36; (1 1 2), d = 4.158 Å, rel. 20; (1 1 0), d = 5.822 Å, rel. 19; (3 3 2), d = 1.844 Å, rel. 19; (2 6 4), d = 1.470 Å, rel. 17; (2 2 4), d = 2.079 Å, rel. 15; (1 3 6), d = 1.710 Å, rel. 15

[3]
Diffraction record for Dy2ThPd3. The powder diffraction line list is simulated, not measured: it uses a crystal structure in Alexandria, relaxed with GGA-PBE and a wavelength of 1.5418 Å.
No peak broadening, texture or thermal motion is included.

Structure:
Cell: 5.021 15.120 3.559 Å, 90.00 90.00 90.00°
Space group Pmmn (No. 59, origin choice 2)
Asymmetric unit:
Dy1 0.250 0.079 0.000
Th1 0.250 0.750 0.001
Pd1 0.250 0.250 0.499
Pd2 0.250 0.584 0.501

Most intense lines, 10 to 80 degrees two-theta, in order of falling intensity:
(1 3 1), d = 2.517 Å, rel. 100; (2 0 2), d = 1.451 Å, rel. 22; (0 6 2), d = 1.454 Å, rel. 22; (0 0 2), d = 1.779 Å, rel. 21; (2 0 0), d = 2.510 Å, rel. 20; (0 0 1), d = 3.558 Å, rel. 9; (2 6 2), d = 1.258 Å, rel. 9; (1 3 2), d = 1.592 Å, rel. 3; (4 0 0), d = 1.255 Å, rel. 2; (0 12 0), d = 1.260 Å, rel. 2

[4]
Diffraction record for CoCuPd2. The powder diffraction line list is simulated, not measured: it uses a crystal structure in Alexandria, relaxed with GGA-PBE and a wavelength of 1.5418 Å.
No peak broadening, texture or thermal motion is included.

Structure:
Cell: 2.7243 2.7243 25.6120 Å, 90.00 90.00 120.00°
Space group R-3m (No. 166, hexagonal axes)
Asymmetric unit:
Co1 0.0000 0.0000 0.0000
Cu1 0.0000 0.0000 0.5000
Pd1 0.0000 0.0000 0.2511

Most intense lines, 10 to 80 degrees two-theta, in order of falling intensity:
(1 0 4), d = 2.214 Å, rel. 100; (0 1 8), d = 1.899 Å, rel. 62; (0 0 12), d = 2.134 Å, rel. 30; (1 1 0), d = 1.362 Å, rel. 20; (1 0 16), d = 1.325 Å, rel. 18; (0 0 6), d = 4.269 Å, rel. 12; (0 1 2), d = 2.320 Å, rel. 7; (1 0 10), d = 1.735 Å, rel. 3; (1 1 6), d = 1.298 Å, rel. 2; (0 1 14), d = 1.446 Å, rel. 2